For FeI3O9, a crystal structure in Alexandria, relaxed with GGA+U gives the simulated X-ray powder pattern in this record (copper Kα).
No peak broadening, texture or thermal motion is included.

```
26
Lattice="9.3328 0.0000 0.0000 -4.6664 8.0825 0.0000 0.0000 0.0000 5.4119" Properties=species:S:1:pos:R:3 pbc="T T T"
Fe 0.0000 5.3883 0.0000
Fe 4.6664 2.6942 2.7060
I -1.3643 2.7548 1.9860
I -1.5985 7.8866 1.9860
I 1.7036 2.5589 4.6920
I 2.9628 5.5236 1.9860
I 6.2649 0.1959 4.6920
I 6.0307 5.3276 4.6920
O -0.4843 1.8140 0.7284
O -1.3890 4.4407 1.1534
O -2.8533 7.5949 0.7284
O -1.5719 5.7751 4.1813
O 1.3288 1.3264 3.4343
O 0.4510 3.8337 4.1813
O -0.1262 7.0651 1.1534
O 1.5152 4.6592 1.1534
O 3.5456 1.5262 1.4754
O 1.1209 6.5562 4.1813
O 3.1512 3.4233 3.8593
O 4.7926 1.0174 3.8593
O 4.2154 4.2488 1.4754
O 3.3376 6.7561 0.7284
O 6.2383 2.3074 1.4754
O 7.5197 0.4876 3.4343
O 6.0555 3.6418 3.8593
O 5.1507 6.2685 3.4343
```

Most intense lines, 2θ from 15° to 90°, in order of rising 2θ:
| d (Å) | 2theta | Rel. int. |
| --- | --- | --- |
| 4.666 | 19.02 | 12 |
| 3.534 | 25.20 | 100 |
| 2.694 | 33.25 | 27 |
| 2.341 | 38.46 | 11 |
| 2.143 | 42.18 | 17 |
| 1.909 | 47.63 | 22 |
| 1.683 | 54.54 | 10 |
| 1.677 | 54.74 | 17 |